1.
For MgSi2, a cell relaxed with GGA-PBE gives the calculated powder diffraction line list in this record (λ = 1.5418 Å (Cu Kα)).
Neutral-atom scattering factors, no anomalous dispersion.

Peak list (10 most intense, 10 to 80 degrees two-theta, low angle first)
hkl 0 1 3, d 2.683, 33.40 deg, intensity 15; hkl 1 1 3, d 2.549, 35.21 deg, intensity 13; hkl 1 0 -3, d 2.530, 35.48 deg, intensity 18; hkl 0 0 4, d 2.405, 37.40 deg, intensity 21; hkl -1 1 2, d 2.301, 39.15 deg, intensity 20; hkl 1 2 2, d 2.276, 39.60 deg, intensity 31; hkl 2 1 0, d 2.268, 39.75 deg, intensity 100; hkl 1 2 -2, d 2.204, 40.95 deg, intensity 44; hkl 3 0 2, d 1.322, 71.35 deg, intensity 11; hkl 3 3 -2, d 1.285, 73.72 deg, intensity 8

```
data_MgSi2
_chemical_formula_sum 'Mg4 Si8'
_cell_length_a 4.540
_cell_length_b 5.126
_cell_length_c 9.625
_cell_angle_alpha 87.82
_cell_angle_beta 89.01
_cell_angle_gamma 65.27
_space_group_name_H-M_alt 'P -1'
_space_group_IT_number 2
loop_
_space_group_symop_operation_xyz
'x,y,z'
'-x,-y,-z'
loop_
_atom_site_label
_atom_site_type_symbol
_atom_site_fract_x
_atom_site_fract_y
_atom_site_fract_z
_atom_site_occupancy
Mg1 Mg 0.097 0.298 0.389 1
Mg2 Mg 0.250 0.003 0.109 1
Si1 Si 0.064 0.377 0.877 1
Si2 Si 0.218 0.063 0.674 1
Si3 Si 0.393 0.704 0.409 1
Si4 Si 0.466 0.582 0.802 1
```

2.
For TbCu3Te3, a cell relaxed with GGA-PBE gives the calculated powder diffraction line list in this record (λ = 1.5418 Å (Cu Kα)).
Neutral-atom scattering factors, no anomalous dispersion.

Peak list (10 most intense, 10 to 80 degrees two-theta, low angle first)
hkl 1 1 3, d 3.293, 27.08 deg, intensity 100; hkl 1 1 6, d 2.551, 35.18 deg, intensity 90; hkl 3 0 0, d 2.156, 41.91 deg, intensity 92; hkl 2 -1 9, d 1.976, 45.92 deg, intensity 51; hkl 4 -2 3, d 1.804, 50.61 deg, intensity 17; hkl 4 -2 6, d 1.647, 55.83 deg, intensity 24; hkl 2 2 9, d 1.457, 63.91 deg, intensity 18; hkl 4 1 3, d 1.383, 67.74 deg, intensity 14; hkl 1 1 15, d 1.309, 72.19 deg, intensity 36; hkl 5 -1 9, d 1.207, 79.40 deg, intensity 18

```
data_TbCu3Te3
_chemical_formula_sum 'Tb6 Cu18 Te18'
_cell_length_a 7.4672
_cell_length_b 7.4672
_cell_length_c 20.9633
_cell_angle_alpha 90.00
_cell_angle_beta 90.00
_cell_angle_gamma 120.00
_space_group_name_H-M_alt 'R -3'
_space_group_IT_number 148
_space_group_name_Hall '-R 3'
loop_
_atom_site_label
_atom_site_type_symbol
_atom_site_fract_x
_atom_site_fract_y
_atom_site_fract_z
_atom_site_occupancy
Tb1 Tb 0.0000 0.0000 0.1659 1
Cu1 Cu 0.0040 0.3535 0.6224 1
Te1 Te 0.0016 0.3212 0.4166 1
```

3.
For ScZnPt, a cell relaxed with GGA-PBE gives the calculated powder diffraction line list in this record (λ = 1.5418 Å (Cu Kα)).
Neutral-atom scattering factors, no anomalous dispersion.

Peak list (10 most intense, 10 to 80 degrees two-theta, low angle first)
hkl 0 2 0, d 4.630, 19.17 deg, intensity 26; hkl 1 1 0, d 3.895, 22.83 deg, intensity 36; hkl 0 2 1, d 3.488, 25.54 deg, intensity 78; hkl 1 1 1, d 3.139, 28.43 deg, intensity 22; hkl 1 3 0, d 2.506, 35.83 deg, intensity 33; hkl 1 3 1, d 2.266, 39.78 deg, intensity 90; hkl 1 1 2, d 2.192, 41.19 deg, intensity 100; hkl 2 0 0, d 2.147, 42.09 deg, intensity 39; hkl 2 2 1, d 1.828, 49.88 deg, intensity 27; hkl 1 3 3, d 1.444, 64.52 deg, intensity 22

```
data_ScZnPt
_chemical_formula_sum 'Sc4 Zn4 Pt4'
_cell_length_a 4.294
_cell_length_b 9.260
_cell_length_c 5.302
_cell_angle_alpha 90.00
_cell_angle_beta 90.00
_cell_angle_gamma 90.00
_space_group_name_H-M_alt 'C m c m'
_space_group_IT_number 63
_space_group_name_Hall '-C 2c 2'
loop_
_atom_site_label
_atom_site_type_symbol
_atom_site_fract_x
_atom_site_fract_y
_atom_site_fract_z
_atom_site_occupancy
Sc1 Sc 0.000 0.209 0.250 1
Zn1 Zn 0.000 0.500 0.000 1
Pt1 Pt 0.000 0.099 0.750 1
```

4.
For Cr4Te3S, a cell relaxed with GGA-PBE gives the calculated powder diffraction line list in this record (λ = 1.5418 Å (Cu Kα)).
Neutral-atom scattering factors, no anomalous dispersion.

Peak list (10 most intense, 10 to 80 degrees two-theta, low angle first)
hkl 1 2 1, d 3.035, 29.43 deg, intensity 100; hkl 0 2 2, d 3.017, 29.61 deg, intensity 52; hkl 1 4 1, d 2.336, 38.54 deg, intensity 67; hkl 0 4 2, d 2.328, 38.68 deg, intensity 31; hkl 2 0 0, d 2.001, 45.31 deg, intensity 23; hkl 1 0 3, d 1.986, 45.68 deg, intensity 41; hkl 1 6 1, d 1.803, 50.63 deg, intensity 20; hkl 2 2 2, d 1.668, 55.06 deg, intensity 18; hkl 2 4 2, d 1.518, 61.06 deg, intensity 15; hkl 1 8 3, d 1.239, 76.98 deg, intensity 18

```
data_Cr4Te3S
_chemical_formula_sum 'Cr8 Te6 S2'
_cell_length_a 4.003
_cell_length_b 12.676
_cell_length_c 6.862
_cell_angle_alpha 90.00
_cell_angle_beta 90.00
_cell_angle_gamma 90.00
_space_group_name_H-M_alt 'I m m 2'
_space_group_IT_number 44
loop_
_space_group_symop_operation_xyz
'x,y,z'
'-x,-y,z'
'-x,y,z'
'x,-y,z'
'x+1/2,y+1/2,z+1/2'
'-x+1/2,-y+1/2,z+1/2'
'-x+1/2,y+1/2,z+1/2'
'x+1/2,-y+1/2,z+1/2'
loop_
_atom_site_label
_atom_site_type_symbol
_atom_site_fract_x
_atom_site_fract_y
_atom_site_fract_z
_atom_site_occupancy
Cr1 Cr 0.000 0.116 0.000 1
Cr2 Cr 0.000 0.378 0.054 1
Te1 Te 0.000 0.000 0.365 1
Te2 Te 0.000 0.261 0.693 1
S1 S 0.000 0.500 0.353 1
```

5.
For Lu5Pb3, a cell relaxed with GGA-PBE gives the calculated powder diffraction line list in this record (λ = 1.5418 Å (Cu Kα)).
Neutral-atom scattering factors, no anomalous dispersion.

Peak list (10 most intense, 10 to 80 degrees two-theta, low angle first)
hkl 0 0 2, d 3.251, 27.43 deg, intensity 22; hkl 1 0 2, d 2.994, 29.84 deg, intensity 12; hkl 2 1 0, d 2.902, 30.81 deg, intensity 26; hkl 2 1 1, d 2.650, 33.82 deg, intensity 100; hkl 1 1 2, d 2.622, 34.20 deg, intensity 71; hkl 3 0 0, d 2.559, 35.06 deg, intensity 37; hkl 3 1 1, d 2.024, 44.78 deg, intensity 14; hkl 2 2 2, d 1.831, 49.79 deg, intensity 16; hkl 2 1 3, d 1.737, 52.71 deg, intensity 29; hkl 5 0 2, d 1.389, 67.45 deg, intensity 21

```
data_Lu5Pb3
_chemical_formula_sum 'Lu10 Pb6'
_cell_length_a 8.8659
_cell_length_b 8.8659
_cell_length_c 6.5026
_cell_angle_alpha 90.00
_cell_angle_beta 90.00
_cell_angle_gamma 120.00
_space_group_name_H-M_alt 'P 63/m c m'
_space_group_IT_number 193
_space_group_name_Hall '-P 6c 2'
loop_
_atom_site_label
_atom_site_type_symbol
_atom_site_fract_x
_atom_site_fract_y
_atom_site_fract_z
_atom_site_occupancy
Lu1 Lu 0.0000 0.2363 0.2500 1
Lu2 Lu 0.3333 0.6667 0.0000 1
Pb1 Pb 0.0000 0.3950 0.7500 1
```

6.
For SnBi, a cell relaxed with GGA-PBE gives the calculated powder diffraction line list in this record (λ = 1.5418 Å (Cu Kα)).
Neutral-atom scattering factors, no anomalous dispersion.

Peak list (10 most intense, 10 to 80 degrees two-theta, low angle first)
hkl 1 1 1, d 2.776, 32.25 deg, intensity 100; hkl 0 2 0, d 2.753, 32.52 deg, intensity 20; hkl 2 0 0, d 1.971, 46.05 deg, intensity 8; hkl 0 2 2, d 1.955, 46.45 deg, intensity 15; hkl 2 0 2, d 1.607, 57.33 deg, intensity 8; hkl 2 2 0, d 1.603, 57.50 deg, intensity 24; hkl 1 3 1, d 1.594, 57.85 deg, intensity 16; hkl 2 2 2, d 1.388, 67.48 deg, intensity 13; hkl 3 1 1, d 1.245, 76.49 deg, intensity 7; hkl 1 3 3, d 1.237, 77.07 deg, intensity 7

```
data_SnBi
_chemical_formula_sum 'Sn2 Bi2'
_cell_length_a 3.942
_cell_length_b 5.506
_cell_length_c 5.553
_cell_angle_alpha 90.00
_cell_angle_beta 90.00
_cell_angle_gamma 90.00
_space_group_name_H-M_alt 'C m m m'
_space_group_IT_number 65
_space_group_name_Hall '-C 2 2'
loop_
_atom_site_label
_atom_site_type_symbol
_atom_site_fract_x
_atom_site_fract_y
_atom_site_fract_z
_atom_site_occupancy
Sn1 Sn 0.000 0.000 0.000 1
Bi1 Bi 0.000 0.500 0.500 1
```

7.
For Rb2LiRuF6, a cell relaxed with GGA-PBE gives the calculated powder diffraction line list in this record (λ = 1.5418 Å (Cu Kα)).
Neutral-atom scattering factors, no anomalous dispersion.

Peak list (10 most intense, 10 to 80 degrees two-theta, low angle first)
hkl 1 1 1, d 4.854, 18.28 deg, intensity 42; hkl 2 2 0, d 2.973, 30.06 deg, intensity 100; hkl 3 1 1, d 2.535, 35.41 deg, intensity 20; hkl 2 2 2, d 2.427, 37.04 deg, intensity 21; hkl 4 0 0, d 2.102, 43.03 deg, intensity 49; hkl 3 3 1, d 1.929, 47.12 deg, intensity 8; hkl 4 2 2, d 1.716, 53.39 deg, intensity 40; hkl 4 4 0, d 1.486, 62.49 deg, intensity 29; hkl 6 2 0, d 1.329, 70.89 deg, intensity 18; hkl 4 4 4, d 1.214, 78.88 deg, intensity 9

```
data_Rb2LiRuF6
_chemical_formula_sum 'Rb8 Li4 Ru4 F24'
_cell_length_a 8.408
_cell_length_b 8.408
_cell_length_c 8.408
_cell_angle_alpha 90.00
_cell_angle_beta 90.00
_cell_angle_gamma 90.00
_space_group_name_H-M_alt 'F m -3 m'
_space_group_IT_number 225
_space_group_name_Hall '-F 4 2 3'
loop_
_atom_site_label
_atom_site_type_symbol
_atom_site_fract_x
_atom_site_fract_y
_atom_site_fract_z
_atom_site_occupancy
Rb1 Rb 0.250 0.250 0.250 1
Li1 Li 0.000 0.000 0.000 1
Ru1 Ru 0.000 0.000 0.500 1
F1 F 0.000 0.000 0.257 1
```

8.
For Rb3Hg, a cell relaxed with GGA-PBE gives the calculated powder diffraction line list in this record (λ = 1.5418 Å (Cu Kα)).
Neutral-atom scattering factors, no anomalous dispersion.

Peak list (10 most intense, 10 to 80 degrees two-theta, low angle first)
hkl 1 0 0, d 6.330, 13.99 deg, intensity 15; hkl 1 1 0, d 4.476, 19.83 deg, intensity 14; hkl 1 1 1, d 3.655, 24.35 deg, intensity 100; hkl 2 0 0, d 3.165, 28.19 deg, intensity 52; hkl 2 2 0, d 2.238, 40.30 deg, intensity 40; hkl 3 1 1, d 1.909, 47.65 deg, intensity 49; hkl 2 2 2, d 1.827, 49.91 deg, intensity 14; hkl 3 3 1, d 1.452, 64.13 deg, intensity 20; hkl 4 2 0, d 1.415, 66.00 deg, intensity 19; hkl 5 1 1, d 1.218, 78.52 deg, intensity 15

```
data_Rb3Hg
_chemical_formula_sum 'Rb3 Hg1'
_cell_length_a 6.330
_cell_length_b 6.330
_cell_length_c 6.330
_cell_angle_alpha 90.00
_cell_angle_beta 90.00
_cell_angle_gamma 90.00
_space_group_name_H-M_alt 'P m -3 m'
_space_group_IT_number 221
_space_group_name_Hall '-P 4 2 3'
loop_
_atom_site_label
_atom_site_type_symbol
_atom_site_fract_x
_atom_site_fract_y
_atom_site_fract_z
_atom_site_occupancy
Rb1 Rb 0.000 0.000 0.500 1
Hg1 Hg 0.500 0.500 0.500 1
```